Diffraction record for NaCo2O4. The X-ray powder pattern is theoretical, not measured: it uses a structure optimized by DFT (GGA+U) and Cu Kα (λ = 1.5418 Å).

Cell and atoms:
a b c (Å): 5.6730 11.2164 4.8962
angles (deg): 90.00 90.00 90.00
Fractional positions:
Na (0.2500, 0.2500, 0.0198)
Na (0.2500, 0.7500, 0.3469)
Na (0.7500, 0.2500, 0.6531)
Na (0.7500, 0.7500, 0.9802)
Co (0.0000, 0.0000, 0.5000)
Co (0.0000, 0.5000, 0.5000)
Co (0.2500, 0.5026, 0.9985)
Co (0.2500, 0.9974, 0.9985)
Co (0.5000, 0.0000, 0.5000)
Co (0.5000, 0.5000, 0.5000)
Co (0.7500, 0.0026, 0.0015)
Co (0.7500, 0.4974, 0.0015)
O (0.0011, 0.0887, 0.8297)
O (0.0011, 0.4113, 0.8297)
O (0.2500, 0.0854, 0.3323)
O (0.2500, 0.4146, 0.3323)
O (0.2500, 0.5878, 0.6608)
O (0.2500, 0.9122, 0.6608)
O (0.4989, 0.0887, 0.8297)
O (0.4989, 0.4113, 0.8297)
O (0.5011, 0.5887, 0.1703)
O (0.5011, 0.9113, 0.1703)
O (0.7500, 0.0878, 0.3392)
O (0.7500, 0.4122, 0.3392)
O (0.7500, 0.5854, 0.6677)
O (0.7500, 0.9146, 0.6677)
O (0.9989, 0.5887, 0.1703)
O (0.9989, 0.9113, 0.1703)

The 8 most intense peaks (2θ from 5° to 70°), sorted by position:
2θ 15.8, d = 5.608 Å, rel. 100, hkl 0 2 0
2θ 31.9, d = 2.804 Å, rel. 12, hkl 0 4 0
2θ 36.6, d = 2.452 Å, rel. 19, hkl 0 0 2
2θ 40.1, d = 2.247 Å, rel. 33, hkl 2 2 1
2θ 44.2, d = 2.050 Å, rel. 10, hkl 0 3 2
2θ 49.4, d = 1.846 Å, rel. 36, hkl 0 4 2
2θ 62.5, d = 1.487 Å, rel. 16, hkl 2 6 1
2θ 66.0, d = 1.415 Å, rel. 8, hkl 2 0 3